Structure and theoretical X-ray powder pattern of Na2MoIrO6 (a DFT-relaxed cell (PBE+U, Alexandria); copper Kα).
Peak positions follow from Bragg's law for the DFT cell and can differ from measured ones.

Structure:
```
data_Na2MoIrO6
_chemical_formula_sum 'Na2 Mo1 Ir1 O6'
_cell_length_a 5.5177
_cell_length_b 5.5177
_cell_length_c 3.9218
_cell_angle_alpha 90.00
_cell_angle_beta 90.00
_cell_angle_gamma 90.00
_symmetry_space_group_name_H-M 'P 4/m m m'
_symmetry_Int_Tables_number 123
_symmetry_space_group_name_Hall '-P 4 2'
loop_
_atom_site_label
_atom_site_type_symbol
_atom_site_fract_x
_atom_site_fract_y
_atom_site_fract_z
Na1 Na 0.0000 0.5000 0.0000
Mo1 Mo 0.0000 0.0000 0.5000
Ir1 Ir 0.5000 0.5000 0.5000
O1 O 0.0000 0.0000 0.0000
O2 O 0.2455 0.2455 0.5000
O3 O 0.5000 0.5000 0.0000
```

Principal peaks in the range 15 to 90 degrees two-theta, by angle:
2theta  d_spacing  I_rel  (hkl)
22.7  3.922  34  0 0 1
22.8  3.902  66  1 1 0
32.4  2.764  100  2 0 0
46.6  1.951  24  2 2 0
52.4  1.746  27  3 1 0
57.8  1.594  26  3 1 1